Diffraction record for Mg7Ga3Sn. The PXRD pattern is computed, not measured: it uses a PBE-relaxed structure and copper Kα.

Crystal structure
```
11
Lattice="5.085 -5.237 0.000 5.085 5.237 0.000 -2.923 0.000 4.659" Properties=species:S:1:pos:R:3 pbc="T T T"
Mg 0.000 0.000 0.000
Mg 2.342 2.266 1.495
Mg 0.931 0.000 3.840
Mg 4.905 2.266 3.164
Mg 2.342 -2.266 1.495
Mg 6.316 0.000 0.819
Mg 4.905 -2.266 3.164
Ga 5.085 2.395 0.000
Ga 3.624 0.000 2.330
Ga 5.085 -2.395 0.000
Sn -1.462 0.000 2.330
```

Peak list (10 most intense, 10° ≤ 2θ ≤ 90°, low angle first)
Position (°2θ)	d_spacing	I/Imax
20.62	4.307	86
25.59	3.481	82
25.74	3.461	78
32.56	2.750	100
34.25	2.618	70
39.21	2.298	91
39.51	2.281	91
40.31	2.237	31
47.98	1.896	53
62.37	1.489	22